Simulated X-ray powder pattern of PrHoCu2 for copper Kα, from a cell relaxed with PBE.
Intensities are scaled so that the largest is 100.

Most intense lines, 2θ from 10° to 80°, most intense first:
index  2θ/deg  I/Imax
1 0 2  31.99  100
1 1 2  36.11  95
1 1 1  28.64  86
1 2 1  40.81  85
0 2 1  35.34  84
2 0 0  40.15  63
2 2 1  54.54  50
0 1 3  41.35  45
1 1 0  25.73  34
2 1 3  59.00  31

Structure:
```
data_PrHoCu2
_chemical_formula_sum 'Pr2 Ho2 Cu4'
_symmetry_space_group_name_H-M 'P m c 21'
_symmetry_Int_Tables_number 26
_cell_length_a 4.492
_cell_length_b 5.434
_cell_length_c 7.153
_cell_angle_alpha 90.00
_cell_angle_beta 90.00
_cell_angle_gamma 90.00
loop_
_symmetry_equiv_pos_as_xyz
'x,y,z'
'-x,-y,z+1/2'
'-x,y,z'
'x,-y,z+1/2'
loop_
_atom_site_label
_atom_site_type_symbol
_atom_site_fract_x
_atom_site_fract_y
_atom_site_fract_z
_atom_site_occupancy
Pr1 Pr 0.000 0.119 0.000 1
Ho1 Ho 0.500 0.385 0.639 1
Cu1 Cu 0.000 0.381 0.356 1
Cu2 Cu 0.500 0.132 0.290 1
```

=====

Simulated X-ray powder pattern of PrHoCu2 for copper Kα, from a cell relaxed with PBE.
Intensities are scaled so that the largest is 100.

Most intense lines, 2θ from 10° to 80°, most intense first:
index  2θ/deg  I/Imax
1 2 0  31.71  100
1 2 1  35.84  93
1 1 1  28.49  88
1 1 2  40.65  85
0 1 2  35.22  84
2 0 0  39.93  63
2 1 2  54.28  48
0 3 1  40.96  45
1 0 1  25.63  33
2 3 1  58.53  31

Structure:
```
data_PrHoCu2
_chemical_formula_sum 'Pr2 Ho2 Cu4'
_symmetry_space_group_name_H-M 'P m n 21'
_symmetry_Int_Tables_number 31
_cell_length_a 4.516
_cell_length_b 7.228
_cell_length_c 5.446
_cell_angle_alpha 90.00
_cell_angle_beta 90.00
_cell_angle_gamma 90.00
loop_
_symmetry_equiv_pos_as_xyz
'x,y,z'
'-x+1/2,-y,z+1/2'
'-x,y,z'
'x+1/2,-y,z+1/2'
loop_
_atom_site_label
_atom_site_type_symbol
_atom_site_fract_x
_atom_site_fract_y
_atom_site_fract_z
_atom_site_occupancy
Pr1 Pr 0.000 0.072 0.000 1
Ho1 Ho 0.000 0.567 0.763 1
Cu1 Cu 0.000 0.235 0.501 1
Cu2 Cu 0.000 0.699 0.251 1
```

=====

Simulated X-ray powder pattern of Pr2HoCu4Sn4 for copper Kα, from a cell relaxed with PBE.
Intensities are scaled so that the largest is 100.

Most intense lines, 2θ from 10° to 80°, most intense first:
index  2θ/deg  I/Imax
1 2 1  32.98  100
1 1 4  33.44  95
2 0 0  39.27  45
0 1 5  32.49  29
1 2 5  44.57  26
2 0 6  54.18  22
0 3 3  43.21  21
0 0 6  35.86  20
3 1 4  67.49  18
2 3 5  65.28  17

Structure:
```
data_Pr2HoCu4Sn4
_chemical_formula_sum 'Pr4 Ho2 Cu8 Sn8'
_symmetry_space_group_name_H-M 'I m m m'
_symmetry_Int_Tables_number 71
_symmetry_space_group_name_Hall '-I 2 2'
_cell_length_a 4.589
_cell_length_b 6.914
_cell_length_c 15.024
_cell_angle_alpha 90.00
_cell_angle_beta 90.00
_cell_angle_gamma 90.00
loop_
_atom_site_label
_atom_site_type_symbol
_atom_site_fract_x
_atom_site_fract_y
_atom_site_fract_z
_atom_site_occupancy
Pr1 Pr 0.000 0.000 0.133 1
Ho1 Ho 0.000 0.500 0.000 1
Cu1 Cu 0.000 0.185 0.331 1
Sn1 Sn 0.000 0.293 0.500 1
Sn2 Sn 0.000 0.500 0.214 1
```

=====

Simulated X-ray powder pattern of Ho3Zn3CuPt2 for copper Kα, from a cell relaxed with PBE.
Intensities are scaled so that the largest is 100.

Most intense lines, 2θ from 10° to 80°, most intense first:
index  2θ/deg  I/Imax
1 1 1  34.23  100
2 0 1  37.23  79
2 1 0  38.23  36
3 0 0  43.60  30
4 1 1  73.99  25
1 0 0  14.22  23
0 0 2  47.54  22
3 2 1  70.33  20
2 1 1  45.23  20
1 1 0  24.76  19

Structure:
```
data_Ho3Zn3CuPt2
_chemical_formula_sum 'Ho3 Zn3 Cu1 Pt2'
_symmetry_space_group_name_H-M 'P -6 2 m'
_symmetry_Int_Tables_number 189
_symmetry_space_group_name_Hall 'P -6 -2'
_cell_length_a 7.1915
_cell_length_b 7.1915
_cell_length_c 3.8250
_cell_angle_alpha 90.00
_cell_angle_beta 90.00
_cell_angle_gamma 120.00
loop_
_atom_site_label
_atom_site_type_symbol
_atom_site_fract_x
_atom_site_fract_y
_atom_site_fract_z
_atom_site_occupancy
Ho1 Ho 0.0000 0.4115 0.0000 1
Zn1 Zn 0.0000 0.7593 0.5000 1
Cu1 Cu 0.0000 0.0000 0.0000 1
Pt1 Pt 0.3333 0.6667 0.5000 1
```

=====

Question: Which formula does entry 4 have?
Answer: Ho3Zn3CuPt2